# 1
The following is a computed powder X-ray diffraction pattern of TlVMo2Se. It was derived from DFT lattice parameters and positions (GGA-PBE), using Cu Ka.
Lines closer than 0.1° are merged.

Most intense lines, 10° ≤ 2θ ≤ 90°, by angle:
2θ/deg, Rel. int.
19.21, 29.0
32.49, 100.0
34.94, 31.5
39.00, 46.3
53.35, 36.7
66.55, 25.3

Structure:
Unit cell a=4.619 b=4.619 c=5.135 alpha=90.00 beta=90.00 gamma=90.00
Fractional positions:
Tl  0.000  0.000  0.000
V  0.000  0.000  0.500
Mo  0.000  0.500  0.500
Mo  0.500  0.000  0.500
Se  0.500  0.500  0.000

---

# 2
The following is a computed powder X-ray diffraction pattern of UMoSe2. It was derived from DFT lattice parameters and positions (GGA-PBE), using Cu Ka.
Lines closer than 0.1° are merged.

Most intense lines, 10° ≤ 2θ ≤ 90°, by angle:
2θ/deg, Rel. int.
27.16, 21.4
33.62, 100.0
43.43, 51.3
52.79, 24.2
56.01, 23.2
73.43, 21.2

Structure:
Unit cell a=5.796 b=5.796 c=5.796 alpha=42.14 beta=42.14 gamma=42.14
Fractional positions:
U  0.000  0.000  0.000
Mo  0.500  0.500  0.500
Se  0.235  0.235  0.235
Se  0.765  0.765  0.765

---

# 3
The following is a computed powder X-ray diffraction pattern of V2MoSe6. It was derived from DFT lattice parameters and positions (GGA-PBE), using Cu Ka.
Lines closer than 0.1° are merged.

Most intense lines, 10° ≤ 2θ ≤ 90°, by angle:
2θ/deg, Rel. int.
12.84, 98.5
32.20, 25.2
35.40, 49.4
35.69, 100.0
47.17, 54.5
54.93, 25.2

Structure:
Unit cell a=8.604 b=8.604 c=7.887 alpha=115.17 beta=115.17 gamma=22.27
Fractional positions:
V  0.147  0.147  0.285
V  0.853  0.853  0.715
Mo  0.500  0.500  0.000
Se  0.000  0.000  0.249
Se  0.000  0.000  0.751
Se  0.320  0.320  0.452
Se  0.333  0.333  0.921
Se  0.667  0.667  0.079
Se  0.680  0.680  0.548

---

# 4
The following is a computed powder X-ray diffraction pattern of VMoSe3. It was derived from DFT lattice parameters and positions (GGA-PBE), using Cu Ka.
Lines closer than 0.1° are merged.

Most intense lines, 10° ≤ 2θ ≤ 90°, by angle:
2θ/deg, Rel. int.
18.13, 52.5
28.99, 46.1
31.25, 59.8
32.93, 56.4
34.09, 69.2
41.18, 100.0

Structure:
Unit cell a=5.266 b=3.273 c=6.352 alpha=90.00 beta=111.68 gamma=90.00
Fractional positions:
V  0.000  0.000  0.000
Mo  0.134  0.500  0.712
Se  0.365  0.500  0.140
Se  0.661  0.500  0.760
Se  0.976  0.000  0.390

---

# 5
The following is a computed powder X-ray diffraction pattern of MoW2Se5. It was derived from DFT lattice parameters and positions (GGA-PBE), using Cu Ka.
Lines closer than 0.1° are merged.

Most intense lines, 10° ≤ 2θ ≤ 90°, by angle:
2θ/deg, Rel. int.
15.58, 50.4
15.96, 100.0
20.58, 70.0
32.61, 58.7
40.58, 39.2
42.50, 39.1

Structure:
Unit cell a=6.905 b=6.905 c=5.709 alpha=110.57 beta=110.57 gamma=57.30
Fractional positions:
Mo  0.000  0.000  0.000
W  0.061  0.061  0.457
W  0.462  0.462  0.928
Se  0.164  0.647  0.201
Se  0.281  0.281  0.555
Se  0.368  0.851  0.851
Se  0.647  0.164  0.201
Se  0.851  0.368  0.851

---

# 6
The following is a computed powder X-ray diffraction pattern of MoW3Se8. It was derived from DFT lattice parameters and positions (GGA-PBE), using Cu Ka.
Lines closer than 0.1° are merged.

Most intense lines, 10° ≤ 2θ ≤ 90°, by angle:
2θ/deg, Rel. int.
12.40, 100.0
31.08, 29.4
36.49, 72.6
44.71, 54.2
55.28, 25.3
78.69, 15.0

Structure:
Unit cell a=3.323 b=3.323 c=28.550 alpha=90.00 beta=90.00 gamma=120.00
Fractional positions:
Mo  0.000  0.000  0.000
W  0.000  0.000  0.499
W  0.667  0.333  0.248
W  0.667  0.333  0.748
Se  0.000  0.000  0.189
Se  0.000  0.000  0.307
Se  0.000  0.000  0.689
Se  0.000  0.000  0.807
Se  0.667  0.333  0.059
Se  0.667  0.333  0.440
Se  0.667  0.333  0.558
Se  0.667  0.333  0.941